Pm4ZrZn5: calculated powder diffractogram (Cu Kα (weighted mean of Kα1 and Kα2)), based on DFT lattice parameters and positions (PBE).

Structural model:
Cell: 3.5876 3.5876 18.0185 Å, 90.00 90.00 90.00°
Space group P4/mmm (No. 123)
Unique sites:
Pm: 0.0000 0.0000 0.1044 x2
Pm: 0.0000 0.0000 0.3121 x2
Zr: 0.0000 0.0000 0.5000 x1
Zn: 0.5000 0.5000 0.0000 x1
Zn: 0.5000 0.5000 0.2069 x2
Zn: 0.5000 0.5000 0.4191 x2

Top 6 peaks for 10° ≤ 2θ ≤ 90°, in order of falling intensity:
- 35.33°, 2.540 Å, rel. 100
- 63.47°, 1.466 Å, rel. 23
- 50.91°, 1.794 Å, rel. 12
- 85.59°, 1.135 Å, rel. 10
- 24.82°, 3.588 Å, rel. 9
- 63.31°, 1.469 Å, rel. 8